# 1
The following is a computed X-ray powder pattern of Ce2Te3. It was derived from a GGA-PBE-relaxed structure, using a wavelength of 1.5418 Å.
Neutral-atom scattering factors, no anomalous dispersion.

```
data_Ce2Te3
_chemical_formula_sum 'Ce32 Te48'
_cell_length_a 9.4956
_cell_length_b 9.4956
_cell_length_c 28.6258
_cell_angle_alpha 90.00
_cell_angle_beta 90.00
_cell_angle_gamma 90.00
_space_group_name_H-M_alt 'I -4 2 d'
_space_group_IT_number 122
_space_group_name_Hall 'I -4 2bw'
loop_
_atom_site_label
_atom_site_type_symbol
_atom_site_fract_x
_atom_site_fract_y
_atom_site_fract_z
Ce1 Ce 0.0000 0.0000 0.1673
Ce2 Ce 0.1207 0.7500 0.6250
Ce3 Ce 0.1299 0.7455 0.9595
Te1 Te 0.0755 0.6729 0.1827
Te2 Te 0.0754 0.6774 0.8521
Te3 Te 0.0791 0.6744 0.5158
```

Principal peaks in the range 2θ from 10° to 90°, by angle:
- hkl 1 0 9, 3.016 Å, 29.62°, rel. 46
- hkl 3 1 0, 3.003 Å, 29.75°, rel. 100
- hkl 2 1 9, 2.544 Å, 35.28°, rel. 71
- hkl 3 2 3, 2.539 Å, 35.36°, rel. 36
- hkl 4 3 3, 1.864 Å, 48.86°, rel. 17
- hkl 6 1 3, 1.541 Å, 60.03°, rel. 27

=====

# 2
The following is a computed X-ray powder pattern of CeTe. It was derived from a GGA-PBE-relaxed structure, using a wavelength of 1.5418 Å.
Neutral-atom scattering factors, no anomalous dispersion.

```
data_CeTe
_chemical_formula_sum 'Ce4 Te4'
_cell_length_a 6.3400
_cell_length_b 6.3400
_cell_length_c 6.3400
_cell_angle_alpha 90.00
_cell_angle_beta 90.00
_cell_angle_gamma 90.00
_space_group_name_H-M_alt 'F m -3 m'
_space_group_IT_number 225
_space_group_name_Hall '-F 4 2 3'
loop_
_atom_site_label
_atom_site_type_symbol
_atom_site_fract_x
_atom_site_fract_y
_atom_site_fract_z
Ce1 Ce 0.0000 0.0000 0.0000
Te1 Te 0.0000 0.0000 0.5000
```

Principal peaks in the range 2θ from 10° to 90°, by angle:
- hkl 2 0 0, 3.170 Å, 28.15°, rel. 100
- hkl 2 2 0, 2.242 Å, 40.23°, rel. 76
- hkl 2 2 2, 1.830 Å, 49.82°, rel. 27
- hkl 4 0 0, 1.585 Å, 58.21°, rel. 13
- hkl 4 2 0, 1.418 Å, 65.88°, rel. 35
- hkl 4 2 2, 1.294 Å, 73.12°, rel. 26

=====

# 3
The following is a computed X-ray powder pattern of Ce3Te4. It was derived from a GGA-PBE-relaxed structure, using a wavelength of 1.5418 Å.
Neutral-atom scattering factors, no anomalous dispersion.

```
data_Ce3Te4
_chemical_formula_sum 'Ce12 Te16'
_cell_length_a 9.5417
_cell_length_b 9.5417
_cell_length_c 9.5417
_cell_angle_alpha 90.00
_cell_angle_beta 90.00
_cell_angle_gamma 90.00
_space_group_name_H-M_alt 'I -4 3 d'
_space_group_IT_number 220
_space_group_name_Hall 'I -4bd 2c 3'
loop_
_atom_site_label
_atom_site_type_symbol
_atom_site_fract_x
_atom_site_fract_y
_atom_site_fract_z
Ce1 Ce 0.0000 0.2500 0.3750
Te1 Te 0.0765 0.0765 0.0765
```

Principal peaks in the range 2θ from 10° to 90°, by angle:
- hkl 3 1 0, 3.017 Å, 29.61°, rel. 100
- hkl 3 2 1, 2.550 Å, 35.19°, rel. 73
- hkl 4 2 0, 2.134 Å, 42.36°, rel. 16
- hkl 4 2 2, 1.948 Å, 46.63°, rel. 16
- hkl 4 3 1, 1.871 Å, 48.66°, rel. 17
- hkl 6 1 1, 1.548 Å, 59.74°, rel. 28

=====

# 4
The following is a computed X-ray powder pattern of Ce2Te5. It was derived from a GGA-PBE-relaxed structure, using a wavelength of 1.5418 Å.
Neutral-atom scattering factors, no anomalous dispersion.

```
data_Ce2Te5
_chemical_formula_sum 'Ce8 Te20'
_cell_length_a 4.4173
_cell_length_b 43.4124
_cell_length_c 4.4175
_cell_angle_alpha 90.00
_cell_angle_beta 90.00
_cell_angle_gamma 90.00
_space_group_name_H-M_alt 'C m c m'
_space_group_IT_number 63
_space_group_name_Hall '-C 2c 2'
loop_
_atom_site_label
_atom_site_type_symbol
_atom_site_fract_x
_atom_site_fract_y
_atom_site_fract_z
Ce1 Ce 0.0000 0.0967 0.2500
Ce2 Ce 0.0000 0.3072 0.2500
Te1 Te 0.0000 0.0419 0.7500
Te2 Te 0.0000 0.1734 0.2500
Te3 Te 0.0000 0.2500 0.7500
Te4 Te 0.0000 0.3817 0.2500
Te5 Te 0.0000 0.4578 0.7500
```

Principal peaks in the range 2θ from 10° to 90°, by angle:
- hkl 0 14 0, 3.100 Å, 28.80°, rel. 47
- hkl 1 5 1, 2.939 Å, 30.41°, rel. 100
- hkl 1 9 1, 2.622 Å, 34.20°, rel. 68
- hkl 2 0 0, 2.209 Å, 40.86°, rel. 59
- hkl 2 14 0, 1.799 Å, 50.75°, rel. 32
- hkl 2 0 2, 1.562 Å, 59.16°, rel. 20

=====

# 5
The following is a computed X-ray powder pattern of Ce10Te19. It was derived from a GGA-PBE-relaxed structure, using a wavelength of 1.5418 Å.
Neutral-atom scattering factors, no anomalous dispersion.

```
data_Ce10Te19
_chemical_formula_sum 'Ce20 Te38'
_cell_length_a 10.0689
_cell_length_b 10.0689
_cell_length_c 18.1267
_cell_angle_alpha 90.00
_cell_angle_beta 90.00
_cell_angle_gamma 90.00
_space_group_name_H-M_alt 'P 42/n'
_space_group_IT_number 86
loop_
_space_group_symop_operation_xyz
'x,y,z'
'-x,-y,-z'
'-y,x+1/2,z+1/2'
'y,-x+1/2,-z+1/2'
'-x+1/2,-y+1/2,z'
'x+1/2,y+1/2,-z'
'y+1/2,-x,z+1/2'
'-y+1/2,x,-z+1/2'
loop_
_atom_site_label
_atom_site_type_symbol
_atom_site_fract_x
_atom_site_fract_y
_atom_site_fract_z
Ce1 Ce 0.0436 0.3504 0.1186
Ce2 Ce 0.0493 0.3528 0.6098
Ce3 Ce 0.2500 0.7500 0.1194
Te1 Te 0.0244 0.8359 0.2504
Te2 Te 0.0498 0.3476 0.4292
Te3 Te 0.0529 0.3496 0.9347
Te4 Te 0.0548 0.8590 0.7501
Te5 Te 0.2500 0.2500 0.2500
Te6 Te 0.2500 0.7500 0.4345
```

Principal peaks in the range 2θ from 10° to 90°, by angle:
- hkl 3 1 0, 3.188 Å, 27.99°, rel. 53
- hkl 0 0 6, 3.021 Å, 29.57°, rel. 39
- hkl 3 1 2, 3.004 Å, 29.74°, rel. 95
- hkl 3 1 4, 2.605 Å, 34.42°, rel. 100
- hkl 1 2 6, 2.509 Å, 35.79°, rel. 53
- hkl 2 4 0, 2.251 Å, 40.05°, rel. 66

=====

# 6
The following is a computed X-ray powder pattern of CeTe3. It was derived from a GGA-PBE-relaxed structure, using a wavelength of 1.5418 Å.
Neutral-atom scattering factors, no anomalous dispersion.

```
data_CeTe3
_chemical_formula_sum 'Ce4 Te12'
_cell_length_a 4.4133
_cell_length_b 25.8937
_cell_length_c 4.4194
_cell_angle_alpha 90.00
_cell_angle_beta 90.00
_cell_angle_gamma 90.00
_space_group_name_H-M_alt 'C m c m'
_space_group_IT_number 63
_space_group_name_Hall '-C 2c 2'
loop_
_atom_site_label
_atom_site_type_symbol
_atom_site_fract_x
_atom_site_fract_y
_atom_site_fract_z
Ce1 Ce 0.0000 0.1681 0.2500
Te1 Te 0.0000 0.0735 0.7500
Te2 Te 0.0000 0.2953 0.2500
Te3 Te 0.0000 0.4264 0.7500
```

Principal peaks in the range 2θ from 10° to 90°, by angle:
- hkl 0 8 0, 3.237 Å, 27.56°, rel. 41
- hkl 1 3 1, 2.937 Å, 30.44°, rel. 100
- hkl 1 5 1, 2.674 Å, 33.51°, rel. 57
- hkl 1 7 1, 2.386 Å, 37.70°, rel. 20
- hkl 2 0 0, 2.208 Å, 40.87°, rel. 54
- hkl 2 8 0, 1.824 Å, 50.00°, rel. 31

=====

# 7
The following is a computed X-ray powder pattern of CeTe. It was derived from a GGA-PBE-relaxed structure, using a wavelength of 1.5418 Å.
Neutral-atom scattering factors, no anomalous dispersion.

```
data_CeTe
_chemical_formula_sum 'Ce1 Te1'
_cell_length_a 3.8609
_cell_length_b 3.8609
_cell_length_c 3.8609
_cell_angle_alpha 90.00
_cell_angle_beta 90.00
_cell_angle_gamma 90.00
_space_group_name_H-M_alt 'P m -3 m'
_space_group_IT_number 221
_space_group_name_Hall '-P 4 2 3'
loop_
_atom_site_label
_atom_site_type_symbol
_atom_site_fract_x
_atom_site_fract_y
_atom_site_fract_z
Ce1 Ce 0.0000 0.0000 0.0000
Te1 Te 0.5000 0.5000 0.5000
```

Principal peaks in the range 2θ from 10° to 90°, by angle:
- hkl 1 1 0, 2.730 Å, 32.80°, rel. 100
- hkl 2 0 0, 1.930 Å, 47.07°, rel. 18
- hkl 2 1 1, 1.576 Å, 58.56°, rel. 38
- hkl 2 2 0, 1.365 Å, 68.77°, rel. 12
- hkl 3 1 0, 1.221 Å, 78.31°, rel. 16
- hkl 2 2 2, 1.115 Å, 87.53°, rel. 4

=====

# 8
The following is a computed X-ray powder pattern of CeTlTe2. It was derived from a GGA-PBE-relaxed structure, using a wavelength of 1.5418 Å.
Neutral-atom scattering factors, no anomalous dispersion.

```
data_CeTlTe2
_chemical_formula_sum 'Ce4 Tl4 Te8'
_cell_length_a 7.9020
_cell_length_b 7.9020
_cell_length_c 8.1752
_cell_angle_alpha 90.00
_cell_angle_beta 90.00
_cell_angle_gamma 90.00
_space_group_name_H-M_alt 'I 4/m c m'
_space_group_IT_number 140
_space_group_name_Hall '-I 4 2c'
loop_
_atom_site_label
_atom_site_type_symbol
_atom_site_fract_x
_atom_site_fract_y
_atom_site_fract_z
Ce1 Ce 0.0000 0.5000 0.2500
Tl1 Tl 0.0000 0.0000 0.2500
Te1 Te 0.2225 0.2775 0.0000
```

Principal peaks in the range 2θ from 10° to 90°, by angle:
- hkl 2 0 2, 2.841 Å, 31.49°, rel. 100
- hkl 2 2 0, 2.794 Å, 32.04°, rel. 46
- hkl 4 0 0, 1.975 Å, 45.94°, rel. 15
- hkl 2 2 4, 1.650 Å, 55.73°, rel. 19
- hkl 4 2 2, 1.622 Å, 56.76°, rel. 31
- hkl 4 0 4, 1.420 Å, 65.74°, rel. 10

=====

# 9
The following is a computed X-ray powder pattern of Ce2UTe4. It was derived from a GGA-PBE-relaxed structure, using a wavelength of 1.5418 Å.
Neutral-atom scattering factors, no anomalous dispersion.

```
data_Ce2UTe4
_chemical_formula_sum 'Ce8 U4 Te16'
_cell_length_a 9.4860
_cell_length_b 9.4860
_cell_length_c 9.4667
_cell_angle_alpha 90.00
_cell_angle_beta 90.00
_cell_angle_gamma 90.00
_space_group_name_H-M_alt 'I -4 2 d'
_space_group_IT_number 122
_space_group_name_Hall 'I -4 2bw'
loop_
_atom_site_label
_atom_site_type_symbol
_atom_site_fract_x
_atom_site_fract_y
_atom_site_fract_z
Ce1 Ce 0.1254 0.2500 0.1250
U1 U 0.0000 0.0000 0.5000
Te1 Te 0.0756 0.1743 0.7951
```

Principal peaks in the range 2θ from 10° to 90°, by angle:
- hkl 3 0 1, 2.998 Å, 29.81°, rel. 100
- hkl 3 1 2, 2.534 Å, 35.43°, rel. 75
- hkl 2 0 4, 2.120 Å, 42.66°, rel. 20
- hkl 4 3 1, 1.859 Å, 48.99°, rel. 17
- hkl 6 1 1, 1.538 Å, 60.16°, rel. 26
- hkl 5 4 1, 1.463 Å, 63.61°, rel. 16

=====

# 10
The following is a computed X-ray powder pattern of CeUTe6. It was derived from a GGA-PBE-relaxed structure, using a wavelength of 1.5418 Å.
Neutral-atom scattering factors, no anomalous dispersion.

```
data_CeUTe6
_chemical_formula_sum 'Ce2 U2 Te12'
_cell_length_a 4.4014
_cell_length_b 4.3982
_cell_length_c 25.6983
_cell_angle_alpha 90.00
_cell_angle_beta 90.00
_cell_angle_gamma 90.00
_space_group_name_H-M_alt 'A m m 2'
_space_group_IT_number 38
loop_
_space_group_symop_operation_xyz
'x,y,z'
'-x,-y,z'
'-x,y,z'
'x,-y,z'
'x,y+1/2,z+1/2'
'-x,-y+1/2,z+1/2'
'-x,y+1/2,z+1/2'
'x,-y+1/2,z+1/2'
loop_
_atom_site_label
_atom_site_type_symbol
_atom_site_fract_x
_atom_site_fract_y
_atom_site_fract_z
Ce1 Ce 0.0000 0.0000 0.0000
U1 U 0.5000 0.0000 0.6650
Te1 Te 0.0000 0.0000 0.1297
Te2 Te 0.0000 0.0000 0.4041
Te3 Te 0.0000 0.0000 0.7590
Te4 Te 0.5000 0.0000 0.2589
Te5 Te 0.5000 0.0000 0.5382
Te6 Te 0.5000 0.0000 0.9040
```

Principal peaks in the range 2θ from 10° to 90°, by angle:
- hkl 0 0 8, 3.212 Å, 27.77°, rel. 47
- hkl 1 1 1, 3.089 Å, 28.91°, rel. 31
- hkl 1 1 3, 2.924 Å, 30.57°, rel. 100
- hkl 1 1 5, 2.662 Å, 33.67°, rel. 77
- hkl 2 0 0, 2.200 Å, 41.03°, rel. 64
- hkl 2 0 8, 1.815 Å, 50.27°, rel. 36

=====

# 11
The following is a computed X-ray powder pattern of Ce3Ti. It was derived from a GGA-PBE-relaxed structure, using a wavelength of 1.5418 Å.
Neutral-atom scattering factors, no anomalous dispersion.

```
data_Ce3Ti
_chemical_formula_sum 'Ce3 Ti1'
_cell_length_a 4.6321
_cell_length_b 4.6321
_cell_length_c 4.6321
_cell_angle_alpha 90.00
_cell_angle_beta 90.00
_cell_angle_gamma 90.00
_space_group_name_H-M_alt 'P m -3 m'
_space_group_IT_number 221
_space_group_name_Hall '-P 4 2 3'
loop_
_atom_site_label
_atom_site_type_symbol
_atom_site_fract_x
_atom_site_fract_y
_atom_site_fract_z
Ce1 Ce 0.0000 0.0000 0.5000
Ti1 Ti 0.5000 0.5000 0.5000
```

Principal peaks in the range 2θ from 10° to 90°, by angle:
- hkl 1 0 0, 4.632 Å, 19.16°, rel. 11
- hkl 1 1 1, 2.674 Å, 33.51°, rel. 100
- hkl 2 0 0, 2.316 Å, 38.88°, rel. 50
- hkl 2 2 0, 1.638 Å, 56.16°, rel. 34
- hkl 3 1 1, 1.397 Å, 67.01°, rel. 39
- hkl 2 2 2, 1.337 Å, 70.41°, rel. 11

=====

# 12
The following is a computed X-ray powder pattern of CeYTl2. It was derived from a GGA-PBE-relaxed structure, using a wavelength of 1.5418 Å.
Neutral-atom scattering factors, no anomalous dispersion.

```
data_CeYTl2
_chemical_formula_sum 'Ce4 Y4 Tl8'
_cell_length_a 7.7067
_cell_length_b 7.7067
_cell_length_c 7.7067
_cell_angle_alpha 90.00
_cell_angle_beta 90.00
_cell_angle_gamma 90.00
_space_group_name_H-M_alt 'F m -3 m'
_space_group_IT_number 225
_space_group_name_Hall '-F 4 2 3'
loop_
_atom_site_label
_atom_site_type_symbol
_atom_site_fract_x
_atom_site_fract_y
_atom_site_fract_z
Ce1 Ce 0.0000 0.0000 0.0000
Y1 Y 0.0000 0.0000 0.5000
Tl1 Tl 0.2500 0.2500 0.2500
```

Principal peaks in the range 2θ from 10° to 90°, by angle:
- hkl 2 0 0, 3.853 Å, 23.08°, rel. 8
- hkl 2 2 0, 2.725 Å, 32.87°, rel. 100
- hkl 4 0 0, 1.927 Å, 47.17°, rel. 18
- hkl 4 2 2, 1.573 Å, 58.69°, rel. 38
- hkl 4 4 0, 1.362 Å, 68.92°, rel. 12
- hkl 6 2 0, 1.219 Å, 78.49°, rel. 17